[1]
Diffraction record for SmDyPt. The PXRD pattern is computed, not measured: it uses a DFT-relaxed cell (GGA-PBE, Alexandria) and Cu Kα (weighted mean of Kα1 and Kα2).

Structural model:
```
SmDyPt
1.0
6.9028 0.0000 0.0000
0.0000 13.4331 0.0000
0.0000 0.0000 7.1729
Sm Dy Pt
8 8 8
Direct
0.1912 0.1997 0.1080 Sm
0.1912 0.3003 0.6080 Sm
0.3088 0.6997 0.1080 Sm
0.3088 0.8003 0.6080 Sm
0.6912 0.1997 0.3920 Sm
0.6912 0.3003 0.8920 Sm
0.8088 0.6997 0.3920 Sm
0.8088 0.8003 0.8920 Sm
0.0030 0.5309 0.7611 Dy
0.0030 0.9691 0.2611 Dy
0.4970 0.0309 0.7611 Dy
0.4970 0.4691 0.2611 Dy
0.5030 0.5309 0.7389 Dy
0.5030 0.9691 0.2389 Dy
0.9970 0.0309 0.7389 Dy
0.9970 0.4691 0.2389 Dy
0.2251 0.6036 0.4586 Pt
0.2251 0.8964 0.9586 Pt
0.2749 0.1036 0.4586 Pt
0.2749 0.3964 0.9586 Pt
0.7251 0.6036 0.0414 Pt
0.7251 0.8964 0.5414 Pt
0.7749 0.1036 0.0414 Pt
0.7749 0.3964 0.5414 Pt
```

Most intense lines, 2θ from 10° to 90°, sorted by position:
22.24 deg, I = 73
29.09 deg, I = 55
29.37 deg, I = 46
31.10 deg, I = 47
31.70 deg, I = 53
32.16 deg, I = 92
36.12 deg, I = 100
36.66 deg, I = 51
37.36 deg, I = 44
38.61 deg, I = 42
40.03 deg, I = 47
44.37 deg, I = 51

[2]
Diffraction record for Rb4MgSe4O14. The PXRD pattern is computed, not measured: it uses a DFT-relaxed cell (GGA-PBE, Alexandria) and Cu Kα (weighted mean of Kα1 and Kα2).

Structural model:
```
Rb4MgSe4O14
1.0
7.2925 -3.9875 0.0000
7.2925 3.9875 0.0000
-1.4808 0.0000 8.2585
Rb Mg Se O
4 1 4 14
Direct
0.1454 0.1454 0.4136 Rb
0.5248 0.1633 0.2123 Rb
0.8367 0.4752 0.7877 Rb
0.8546 0.8546 0.5864 Rb
0.4348 0.5652 0.0000 Mg
0.0182 0.7785 0.0974 Se
0.2215 0.9818 0.9026 Se
0.3962 0.4061 0.6402 Se
0.5939 0.6038 0.3598 Se
0.0837 0.0406 0.7321 O
0.1723 0.8277 0.0000 O
0.1750 0.5035 0.7064 O
0.1822 0.1667 0.0310 O
0.1991 0.5539 0.1119 O
0.4461 0.8009 0.8881 O
0.4666 0.1816 0.5529 O
0.4674 0.5326 0.5000 O
0.4965 0.8250 0.2936 O
0.5454 0.3705 0.8215 O
0.6295 0.4546 0.1785 O
0.8184 0.5334 0.4471 O
0.8333 0.8178 0.9690 O
0.9594 0.9163 0.2679 O
```

Most intense lines, 2θ from 10° to 90°, sorted by position:
15.92 deg, I = 45
22.30 deg, I = 51
22.87 deg, I = 73
24.80 deg, I = 100
25.66 deg, I = 19
26.74 deg, I = 65
26.90 deg, I = 35
28.25 deg, I = 30
28.64 deg, I = 49
32.15 deg, I = 26
33.14 deg, I = 42
38.75 deg, I = 21

[3]
Diffraction record for La5Sm3Tm. The PXRD pattern is computed, not measured: it uses a DFT-relaxed cell (GGA-PBE, Alexandria) and Cu Kα (weighted mean of Kα1 and Kα2).

Structural model:
```
La5Sm3Tm
1.0
-4.7161 4.7161 7.2655
4.7161 -4.7161 7.2655
4.7161 4.7161 -7.2655
La Sm Tm
10 6 2
Direct
0.0000 0.0000 0.0000 La
0.0687 0.5687 0.9110 La
0.1577 0.0687 0.5000 La
0.3423 0.8423 0.9110 La
0.4313 0.3423 0.5000 La
0.5000 0.5000 0.0000 La
0.5687 0.6577 0.5000 La
0.6577 0.1577 0.0890 La
0.8423 0.9313 0.5000 La
0.9313 0.4313 0.0890 La
0.1101 0.3899 0.5000 Sm
0.2500 0.2500 0.0000 Sm
0.3899 0.8899 0.2798 Sm
0.6101 0.1101 0.7202 Sm
0.7500 0.7500 0.0000 Sm
0.8899 0.6101 0.5000 Sm
0.2500 0.7500 0.5000 Tm
0.7500 0.2500 0.5000 Tm
```

Most intense lines, 2θ from 10° to 90°, sorted by position:
26.73 deg, I = 60
28.05 deg, I = 51
29.96 deg, I = 14
31.08 deg, I = 100
32.45 deg, I = 12
34.85 deg, I = 24
37.58 deg, I = 12
39.89 deg, I = 16
40.21 deg, I = 13
50.00 deg, I = 21
57.80 deg, I = 12
60.20 deg, I = 11

[4]
Diffraction record for NaMg2In2Au2. The PXRD pattern is computed, not measured: it uses a DFT-relaxed cell (GGA-PBE, Alexandria) and Cu Kα (weighted mean of Kα1 and Kα2).

Structural model:
```
NaMg2In2Au2
1.0
2.3855 1.3773 7.8336
-2.3855 1.3773 7.8336
0.0000 -2.7545 7.8336
Na Mg In Au
1 2 2 2
Direct
0.0000 0.0000 0.0000 Na
0.1320 0.1320 0.1320 Mg
0.8680 0.8680 0.8680 Mg
0.3959 0.3959 0.3959 In
0.6041 0.6041 0.6041 In
0.2481 0.2481 0.2481 Au
0.7519 0.7519 0.7519 Au
```

Most intense lines, 2θ from 10° to 90°, sorted by position:
22.70 deg, I = 66
22.81 deg, I = 70
28.77 deg, I = 26
37.57 deg, I = 69
37.71 deg, I = 100
44.48 deg, I = 82
54.28 deg, I = 24
59.43 deg, I = 17
61.24 deg, I = 14
68.02 deg, I = 41
72.78 deg, I = 18
85.02 deg, I = 16

[5]
Diffraction record for CuRe4. The PXRD pattern is computed, not measured: it uses a DFT-relaxed cell (GGA-PBE, Alexandria) and Cu Kα (weighted mean of Kα1 and Kα2).

Structural model:
```
CuRe4
1.0
-3.0511 3.0511 1.9527
3.0511 -3.0511 1.9527
3.0511 3.0511 -1.9527
Cu Re
1 4
Direct
0.0000 0.0000 0.0000 Cu
0.2057 0.4099 0.6156 Re
0.4099 0.7943 0.2042 Re
0.5901 0.2057 0.7958 Re
0.7943 0.5901 0.3844 Re
```

Most intense lines, 2θ from 10° to 90°, sorted by position:
20.58 deg, I = 4
27.11 deg, I = 9
40.32 deg, I = 100
41.87 deg, I = 3
46.51 deg, I = 17
47.10 deg, I = 33
50.60 deg, I = 2
68.34 deg, I = 22
68.80 deg, I = 10
82.01 deg, I = 13
82.88 deg, I = 25
87.14 deg, I = 11

[6]
Diffraction record for LaY5Er3. The PXRD pattern is computed, not measured: it uses a DFT-relaxed cell (GGA-PBE, Alexandria) and Cu Kα (weighted mean of Kα1 and Kα2).

Structural model:
```
LaY5Er3
1.0
-4.2971 4.2971 7.8767
4.2971 -4.2971 7.8767
4.2971 4.2971 -7.8767
La Y Er
2 10 6
Direct
0.2500 0.7500 0.5000 La
0.7500 0.2500 0.5000 La
0.0000 0.0000 0.0000 Y
0.0624 0.5624 0.8961 Y
0.1662 0.0624 0.5000 Y
0.3338 0.8338 0.8961 Y
0.4376 0.3338 0.5000 Y
0.5000 0.5000 0.0000 Y
0.5624 0.6662 0.5000 Y
0.6662 0.1662 0.1039 Y
0.8338 0.9376 0.5000 Y
0.9376 0.4376 0.1039 Y
0.1205 0.3795 0.5000 Er
0.2500 0.2500 0.0000 Er
0.3795 0.8795 0.2591 Er
0.6205 0.1205 0.7409 Er
0.7500 0.7500 0.0000 Er
0.8795 0.6205 0.5000 Er
```

Most intense lines, 2θ from 10° to 90°, sorted by position:
22.58 deg, I = 15
28.79 deg, I = 81
29.40 deg, I = 46
30.80 deg, I = 100
32.96 deg, I = 24
36.89 deg, I = 26
38.19 deg, I = 26
40.28 deg, I = 16
43.67 deg, I = 25
46.09 deg, I = 18
53.02 deg, I = 18
59.66 deg, I = 16

[7]
Diffraction record for ReBi. The PXRD pattern is computed, not measured: it uses a DFT-relaxed cell (GGA-PBE, Alexandria) and Cu Kα (weighted mean of Kα1 and Kα2).

Structural model:
```
ReBi
1.0
6.7883 0.0000 0.0000
0.0000 7.2447 0.0000
0.0000 0.0000 7.4385
Re Bi
8 8
Direct
0.0528 0.0668 0.0566 Re
0.1360 0.8504 0.3536 Re
0.3640 0.1496 0.8536 Re
0.4472 0.9332 0.5566 Re
0.5528 0.4332 0.9434 Re
0.6360 0.6496 0.6464 Re
0.8640 0.3504 0.1464 Re
0.9472 0.5668 0.4434 Re
0.1065 0.8255 0.7378 Bi
0.1749 0.5890 0.0753 Bi
0.3251 0.4110 0.5753 Bi
0.3935 0.1745 0.2378 Bi
0.6065 0.6745 0.2622 Bi
0.6749 0.9110 0.9247 Bi
0.8251 0.0890 0.4247 Bi
0.8935 0.3255 0.7622 Bi
```

Most intense lines, 2θ from 10° to 90°, sorted by position:
29.05 deg, I = 83
30.44 deg, I = 100
34.56 deg, I = 31
37.09 deg, I = 71
37.98 deg, I = 45
38.32 deg, I = 28
38.66 deg, I = 58
40.69 deg, I = 37
43.64 deg, I = 44
43.92 deg, I = 43
52.27 deg, I = 28
68.17 deg, I = 37

[8]
Diffraction record for LiUPt5. The PXRD pattern is computed, not measured: it uses a DFT-relaxed cell (GGA-PBE, Alexandria) and Cu Kα (weighted mean of Kα1 and Kα2).

Structural model:
```
LiUPt5
1.0
4.1232 0.0000 0.0000
0.0000 4.1232 0.0000
0.0000 0.0000 6.8627
Li U Pt
1 1 5
Direct
0.0000 0.0000 0.0000 Li
0.5000 0.5000 0.5000 U
0.0000 0.0000 0.5000 Pt
0.0000 0.5000 0.2130 Pt
0.0000 0.5000 0.7870 Pt
0.5000 0.0000 0.2130 Pt
0.5000 0.0000 0.7870 Pt
```

Most intense lines, 2θ from 10° to 90°, sorted by position:
12.90 deg, I = 18
33.39 deg, I = 48
39.39 deg, I = 18
40.60 deg, I = 100
43.92 deg, I = 46
60.45 deg, I = 21
63.85 deg, I = 16
71.55 deg, I = 12
74.00 deg, I = 10
76.75 deg, I = 16
77.67 deg, I = 10
78.47 deg, I = 30